Theoretical X-ray powder pattern of Tb3Ni19B10 for Cu Kα, 1.54184 Å, from a cell relaxed with GGA-PBE.
Intensities are scaled so that the largest is 100.

Structure:
a b c (Å): 7.9035 7.9035 5.7847
angles (deg): 91.12 91.12 67.20
Atoms (fractional coordinates):
1 Tb 0.0000 0.0000 0.0000
2 Tb 0.3743 0.3743 0.6124
3 Tb 0.6257 0.6257 0.3876
4 Ni 0.0000 0.0000 0.5000
5 Ni 0.0451 0.5180 0.3015
6 Ni 0.1218 0.6220 0.9257
7 Ni 0.1627 0.1627 0.7016
8 Ni 0.1825 0.1825 0.2707
9 Ni 0.2293 0.7117 0.3012
10 Ni 0.2883 0.7707 0.6988
11 Ni 0.3781 0.3781 0.1245
12 Ni 0.3780 0.8782 0.0743
13 Ni 0.4820 0.9549 0.6985
14 Ni 0.5180 0.0451 0.3015
15 Ni 0.6220 0.1218 0.9257
16 Ni 0.6219 0.6219 0.8755
17 Ni 0.7117 0.2293 0.3012
18 Ni 0.7707 0.2883 0.6988
19 Ni 0.8175 0.8175 0.7293
20 Ni 0.8373 0.8373 0.2984
21 Ni 0.8782 0.3780 0.0743
22 Ni 0.9549 0.4820 0.6985
23 B 0.0640 0.6999 0.5688
24 B 0.1428 0.3484 0.9742
25 B 0.3001 0.9360 0.4312
26 B 0.3484 0.1428 0.9742
27 B 0.3828 0.6172 0.0000
28 B 0.6172 0.3828 0.0000
29 B 0.6516 0.8572 0.0258
30 B 0.6999 0.0640 0.5688
31 B 0.8572 0.6516 0.0258
32 B 0.9360 0.3001 0.4312

Principal peaks in the range 10° ≤ 2θ ≤ 90°, low angle first:
| d/Å | I (rel.) |
| --- | --- |
| 2.628 | 31.4 |
| 2.521 | 48.3 |
| 2.411 | 40.4 |
| 2.377 | 39.3 |
| 2.351 | 59.3 |
| 2.251 | 92.4 |
| 2.187 | 100.0 |
| 2.035 | 23.5 |
| 1.963 | 35.4 |
| 1.954 | 34.6 |
| 1.928 | 43.1 |
| 1.871 | 44.6 |